Fe2Hg3: theoretical PXRD pattern (a wavelength of 1.5418 Å), based on DFT lattice parameters and positions (GGA-PBE).

Structure:
Cell: 3.0368 3.0368 36.6910 Å, 90.00 90.00 120.00°
Space group R-3m (No. 166, hexagonal axes)
One atom of each set of equivalent atoms:
Fe: 0.0000 0.0000 0.1887 x6
Hg: 0.0000 0.0000 0.0000 x3
Hg: 0.0000 0.0000 0.4157 x6

Top 10 peaks for 2θ = 15–90°, by angle:
Position (°2θ)	Rel. int.
29.21	46
34.45	25
36.29	100
38.29	47
42.28	39
55.04	25
61.02	26
66.37	10
69.07	26
73.11	13